# 1
Hf6Al16Os7: theoretical X-ray diffraction stick pattern (Cu Ka), based on the GGA-PBE geometry in the Materials Project.
Lines closer than 0.1° are merged.

Crystal structure
```
Hf6Al16Os7
1.0
0.000 6.157 6.157
6.157 0.000 6.157
6.157 6.157 0.000
Hf Al Os
6 16 7
direct
0.205 0.205 0.795
0.205 0.795 0.205
0.205 0.795 0.795
0.795 0.205 0.205
0.795 0.205 0.795
0.795 0.795 0.205
0.141 0.620 0.620
0.163 0.163 0.163
0.163 0.163 0.510
0.163 0.510 0.163
0.380 0.380 0.380
0.380 0.380 0.859
0.380 0.859 0.380
0.490 0.837 0.837
0.510 0.163 0.163
0.620 0.141 0.620
0.620 0.620 0.141
0.620 0.620 0.620
0.837 0.490 0.837
0.837 0.837 0.490
0.837 0.837 0.837
0.859 0.380 0.380
0.000 0.000 0.500
0.000 0.500 0.000
0.000 0.500 0.500
0.500 0.000 0.000
0.500 0.000 0.500
0.500 0.500 0.000
0.500 0.500 0.500
```

Largest 10 diffraction maxima, most intense first, 10 to 80 degrees two-theta:
| 2θ/deg | I/Imax |
| --- | --- |
| 41.5 | 100 |
| 29.0 | 85 |
| 38.0 | 33 |
| 31.7 | 26 |
| 35.7 | 26 |
| 68.1 | 19 |
| 20.4 | 18 |
| 75.7 | 17 |
| 51.4 | 17 |
| 57.5 | 16 |

---

# 2
Hf6Al16Pd7: theoretical X-ray diffraction stick pattern (Cu Ka), based on the GGA-PBE geometry in the Materials Project.
Lines closer than 0.1° are merged.

Crystal structure
```
Hf6Al16Pd7
1.0
0.000 6.201 6.201
6.201 0.000 6.201
6.201 6.201 0.000
Hf Al Pd
6 16 7
direct
0.182 0.182 0.818
0.182 0.818 0.182
0.182 0.818 0.818
0.818 0.182 0.182
0.818 0.182 0.818
0.818 0.818 0.182
0.139 0.620 0.620
0.165 0.165 0.165
0.165 0.165 0.505
0.165 0.505 0.165
0.380 0.380 0.380
0.380 0.380 0.861
0.380 0.861 0.380
0.495 0.835 0.835
0.505 0.165 0.165
0.620 0.139 0.620
0.620 0.620 0.139
0.620 0.620 0.620
0.835 0.495 0.835
0.835 0.835 0.495
0.835 0.835 0.835
0.861 0.380 0.380
0.000 0.000 0.500
0.000 0.500 0.000
0.000 0.500 0.500
0.500 0.000 0.000
0.500 0.000 0.500
0.500 0.500 0.000
0.500 0.500 0.500
```

Largest 10 diffraction maxima, most intense first, 10 to 80 degrees two-theta:
| 2θ/deg | I/Imax |
| --- | --- |
| 37.7 | 100 |
| 41.2 | 71 |
| 28.8 | 66 |
| 31.4 | 63 |
| 35.5 | 55 |
| 12.4 | 38 |
| 43.8 | 36 |
| 63.7 | 34 |
| 76.4 | 26 |
| 65.6 | 22 |

---

# 3
Hf2Al3Pd: theoretical X-ray diffraction stick pattern (Cu Ka), based on the GGA-PBE geometry in the Materials Project.
Lines closer than 0.1° are merged.

Crystal structure
```
Hf2Al3Pd
1.0
5.333 0.000 0.000
-2.667 4.619 0.000
0.000 0.000 8.350
Hf Al Pd
4 6 2
direct
0.333 0.667 0.068
0.333 0.667 0.432
0.667 0.333 0.568
0.667 0.333 0.932
0.170 0.340 0.750
0.170 0.830 0.750
0.340 0.170 0.250
0.660 0.830 0.750
0.830 0.170 0.250
0.830 0.660 0.250
0.000 0.000 0.000
0.000 0.000 0.500
```

Largest 10 diffraction maxima, most intense first, 10 to 80 degrees two-theta:
| 2θ/deg | I/Imax |
| --- | --- |
| 33.6 | 100 |
| 40.1 | 88 |
| 37.7 | 78 |
| 21.3 | 36 |
| 62.8 | 35 |
| 22.0 | 31 |
| 70.7 | 25 |
| 40.5 | 25 |
| 64.5 | 22 |
| 60.1 | 19 |

---

# 4
HfAlPd: theoretical X-ray diffraction stick pattern (Cu Ka), based on the GGA-PBE geometry in the Materials Project.
Lines closer than 0.1° are merged.

Crystal structure
```
HfAlPd
1.0
8.407 0.000 0.000
0.000 2.675 4.565
0.000 -2.675 4.565
Hf Al Pd
4 4 4
direct
0.183 0.000 0.000
0.302 0.332 0.332
0.698 0.332 0.332
0.817 0.000 0.000
0.246 0.668 0.668
0.500 0.317 0.836
0.500 0.836 0.317
0.754 0.668 0.668
0.000 0.001 0.495
0.000 0.495 0.001
0.000 0.496 0.496
0.500 0.832 0.832
```

Largest 10 diffraction maxima, most intense first, 10 to 80 degrees two-theta:
| 2θ/deg | I/Imax |
| --- | --- |
| 37.5 | 100 |
| 40.3 | 93 |
| 40.5 | 63 |
| 33.9 | 36 |
| 10.5 | 36 |
| 28.7 | 35 |
| 37.7 | 33 |
| 33.5 | 31 |
| 41.0 | 30 |
| 69.1 | 30 |

---

# 5
Hf6Al16Pt7: theoretical X-ray diffraction stick pattern (Cu Ka), based on the GGA-PBE geometry in the Materials Project.
Lines closer than 0.1° are merged.

Crystal structure
```
Hf6Al16Pt7
1.0
0.000 6.204 6.204
6.204 0.000 6.204
6.204 6.204 0.000
Hf Al Pt
6 16 7
direct
0.181 0.181 0.819
0.181 0.819 0.181
0.181 0.819 0.819
0.819 0.181 0.181
0.819 0.181 0.819
0.819 0.819 0.181
0.140 0.620 0.620
0.165 0.165 0.165
0.165 0.165 0.505
0.165 0.505 0.165
0.380 0.380 0.380
0.380 0.380 0.860
0.380 0.860 0.380
0.495 0.835 0.835
0.505 0.165 0.165
0.620 0.140 0.620
0.620 0.620 0.140
0.620 0.620 0.620
0.835 0.495 0.835
0.835 0.835 0.495
0.835 0.835 0.835
0.860 0.380 0.380
0.000 0.000 0.500
0.000 0.500 0.000
0.000 0.500 0.500
0.500 0.000 0.000
0.500 0.000 0.500
0.500 0.500 0.000
0.500 0.500 0.500
```

Largest 10 diffraction maxima, most intense first, 10 to 80 degrees two-theta:
| 2θ/deg | I/Imax |
| --- | --- |
| 28.8 | 100 |
| 41.2 | 98 |
| 37.7 | 64 |
| 48.7 | 54 |
| 31.4 | 53 |
| 35.4 | 46 |
| 65.6 | 38 |
| 24.9 | 28 |
| 43.8 | 26 |
| 63.6 | 23 |

---

# 6
Hf6Al2Pt: theoretical X-ray diffraction stick pattern (Cu Ka), based on the GGA-PBE geometry in the Materials Project.
Lines closer than 0.1° are merged.

Crystal structure
```
Hf6Al2Pt
1.0
7.970 0.000 0.000
-3.985 6.902 0.000
0.000 0.000 3.339
Hf Al Pt
6 2 1
direct
0.000 0.398 0.000
0.000 0.732 0.500
0.268 0.268 0.500
0.398 0.000 0.000
0.602 0.602 0.000
0.732 0.000 0.500
0.333 0.667 0.500
0.667 0.333 0.500
0.000 0.000 0.000
```

Largest 10 diffraction maxima, most intense first, 10 to 80 degrees two-theta:
| 2θ/deg | I/Imax |
| --- | --- |
| 35.1 | 100 |
| 37.5 | 61 |
| 34.4 | 49 |
| 39.2 | 43 |
| 65.2 | 35 |
| 12.8 | 33 |
| 44.0 | 19 |
| 69.6 | 16 |
| 47.5 | 15 |
| 66.5 | 15 |

---

# 7
HfAlRh2: theoretical X-ray diffraction stick pattern (Cu Ka), based on the GGA-PBE geometry in the Materials Project.
Lines closer than 0.1° are merged.

Crystal structure
```
HfAlRh2
1.0
6.310 0.000 0.000
0.000 6.310 0.000
0.000 0.000 6.310
Hf Al Rh
4 4 8
direct
0.000 0.000 0.000
0.000 0.500 0.500
0.500 0.000 0.500
0.500 0.500 0.000
0.000 0.000 0.500
0.000 0.500 0.000
0.500 0.000 0.000
0.500 0.500 0.500
0.250 0.250 0.250
0.250 0.250 0.750
0.250 0.750 0.250
0.250 0.750 0.750
0.750 0.250 0.250
0.750 0.250 0.750
0.750 0.750 0.250
0.750 0.750 0.750
```

Largest 7 diffraction maxima, most intense first, 10 to 80 degrees two-theta:
| 2θ/deg | I/Imax |
| --- | --- |
| 40.4 | 100 |
| 73.5 | 34 |
| 24.4 | 32 |
| 58.5 | 17 |
| 47.8 | 16 |
| 64.4 | 7 |
| 78.8 | 5 |

---

# 8
Hf2AlSi: theoretical X-ray diffraction stick pattern (Cu Ka), based on the GGA-PBE geometry in the Materials Project.
Lines closer than 0.1° are merged.

Crystal structure
```
Hf2AlSi
1.0
3.828 0.000 0.000
0.000 3.780 0.000
0.000 0.000 10.085
Hf Al Si
4 2 2
direct
0.000 0.000 0.000
0.000 0.500 0.500
0.500 0.000 0.293
0.500 0.500 0.793
0.500 0.000 0.568
0.500 0.500 0.068
0.000 0.000 0.725
0.000 0.500 0.225
```

Largest 10 diffraction maxima, most intense first, 10 to 80 degrees two-theta:
| 2θ/deg | I/Imax |
| --- | --- |
| 34.5 | 100 |
| 29.3 | 69 |
| 35.7 | 53 |
| 60.8 | 34 |
| 25.2 | 31 |
| 35.6 | 26 |
| 57.1 | 25 |
| 69.9 | 23 |
| 57.4 | 22 |
| 43.1 | 20 |

---

# 9
Hf4AlSi: theoretical X-ray diffraction stick pattern (Cu Ka), based on the GGA-PBE geometry in the Materials Project.
Lines closer than 0.1° are merged.

Crystal structure
```
Hf4AlSi
1.0
6.683 0.000 0.000
0.000 6.683 0.000
0.000 0.000 5.248
Hf Al Si
8 2 2
direct
0.154 0.346 0.250
0.154 0.654 0.750
0.346 0.154 0.750
0.346 0.846 0.250
0.654 0.154 0.250
0.654 0.846 0.750
0.846 0.346 0.750
0.846 0.654 0.250
0.000 0.000 0.500
0.500 0.500 0.000
0.000 0.000 0.000
0.500 0.500 0.500
```

Largest 10 diffraction maxima, most intense first, 10 to 80 degrees two-theta:
| 2θ/deg | I/Imax |
| --- | --- |
| 34.5 | 100 |
| 61.4 | 19 |
| 42.8 | 19 |
| 34.2 | 18 |
| 79.3 | 13 |
| 69.6 | 12 |
| 59.7 | 11 |
| 18.8 | 11 |
| 55.9 | 10 |
| 39.3 | 10 |